Entry 1:
Diffraction record for Li3MnCoO5. The PXRD pattern is calculated, not measured: it uses a crystal structure in Alexandria, relaxed with GGA+U and copper Kα.
Intensities are scaled so that the largest is 100.

```
data_Li3MnCoO5
_cell_length_a 2.9205
_cell_length_b 6.4386
_cell_length_c 9.8318
_cell_angle_alpha 80.53
_cell_angle_beta 89.94
_cell_angle_gamma 76.92
_symmetry_space_group_name_H-M 'P 1'
_symmetry_Int_Tables_number 1
loop_
_symmetry_equiv_pos_as_xyz
'x,y,z'
loop_
_atom_site_label
_atom_site_fract_x
_atom_site_fract_y
_atom_site_fract_z
_atom_site_occupancy
Li1 0.0000 0.0000 0.0000 1
Li2 0.0948 0.8099 0.2920 1
Li3 0.2967 0.3994 0.8910 1
Li4 0.5093 0.9840 0.5227 1
Li5 0.6840 0.6292 0.0807 1
Li6 0.9041 0.1939 0.7198 1
Mn1 0.4035 0.1947 0.1991 1
Mn2 0.7984 0.4046 0.4073 1
Co1 0.2001 0.6007 0.6051 1
Co2 0.5912 0.8177 0.8127 1
O1 0.0617 0.8778 0.6563 1
O2 0.1512 0.6965 0.9417 1
O3 0.2585 0.4854 0.2745 1
O4 0.3417 0.3172 0.5383 1
O5 0.4539 0.0931 0.8485 1
O6 0.5393 0.9219 0.1623 1
O7 0.6623 0.6775 0.4686 1
O8 0.7401 0.5199 0.7309 1
O9 0.8543 0.2941 0.0791 1
O10 0.9372 0.1264 0.3422 1
```

Largest 10 diffraction maxima, by angle, 2θ = 10–90°:
Position (°2θ), Rel. int., hkl
14.33, 7, 0 1 0
18.28, 100, 0 1 -1
36.01, 22, 1 0 -2
36.69, 12, 0 2 3
43.21, 55, 1 0 3
44.80, 24, 0 3 2
48.22, 7, 1 3 0
56.77, 10, 1 -1 4
63.69, 21, 2 1 0
64.31, 13, 1 3 5



Entry 2:
Diffraction record for Li2MnCo3O8. The PXRD pattern is calculated, not measured: it uses a crystal structure in Alexandria, relaxed with GGA+U and copper Kα.
Intensities are scaled so that the largest is 100.

```
data_Li2MnCo3O8
_cell_length_a 5.6989
_cell_length_b 5.7163
_cell_length_c 5.9072
_cell_angle_alpha 91.26
_cell_angle_beta 118.20
_cell_angle_gamma 119.09
_symmetry_space_group_name_H-M 'P 1'
_symmetry_Int_Tables_number 1
loop_
_symmetry_equiv_pos_as_xyz
'x,y,z'
loop_
_atom_site_label
_atom_site_fract_x
_atom_site_fract_y
_atom_site_fract_z
_atom_site_occupancy
Li1 0.0000 0.0000 0.0000 1
Li2 0.5000 0.5000 0.0000 1
Mn1 0.0000 0.5000 0.5000 1
Co1 0.0000 0.0000 0.5000 1
Co2 0.5000 0.0000 0.5000 1
Co3 0.5000 0.5000 0.5000 1
O1 0.0098 0.7524 0.2844 1
O2 0.0396 0.2628 0.2989 1
O3 0.4621 0.2432 0.6975 1
O4 0.4706 0.7221 0.7143 1
O5 0.5294 0.2779 0.2857 1
O6 0.5379 0.7568 0.3025 1
O7 0.9604 0.7372 0.7011 1
O8 0.9902 0.2476 0.7156 1
```

Largest 10 diffraction maxima, by angle, 2θ = 10–90°:
Position (°2θ), Rel. int., hkl
18.03, 100, 0 0 1
36.49, 26, 2 0 -1
37.17, 11, -2 2 1
38.32, 6, 2 -2 0
43.62, 35, 2 0 0
44.64, 17, -2 2 2
56.93, 10, 0 2 -3
62.85, 5, 0 2 2
64.41, 5, 2 2 -2
65.31, 5, 2 -4 0